Structure and simulated X-ray diffraction stick pattern of SrLi10Cd2 (DFT lattice parameters and positions (PBE); Cu Kα, 1.54184 Å).
Neutral-atom scattering factors, no anomalous dispersion.

Largest 12 diffraction maxima, by angle, 2θ = 10–90°:
| d_spacing | Position (°2θ) | intensity | hkl |
| --- | --- | --- | --- |
| 7.189 | 12.3 | 100 | 0 0 2 |
| 7.090 | 12.5 | 22 | 0 2 0 |
| 5.048 | 17.6 | 21 | 0 2 2 |
| 5.013 | 17.7 | 13 | 1 1 1 |
| 3.595 | 24.8 | 21 | 0 0 4 |
| 3.545 | 25.1 | 27 | 0 4 0 |
| 3.179 | 28.1 | 31 | 0 4 2 |
| 2.675 | 33.5 | 23 | 2 2 0 |
| 2.524 | 35.6 | 21 | 0 4 4 |
| 2.506 | 35.8 | 44 | 2 2 2 |
| 2.146 | 42.1 | 21 | 2 2 4 |
| 1.773 | 51.6 | 17 | 0 8 0 |

Crystal structure
Lattice parameters (Å, degrees): 5.775 14.179 14.379 90.00 90.00 90.00
Space group Fmmm (No. 69)
Symmetry-distinct sites (fractional):
Sr (0.000, 0.000, 0.000)
Li (0.000, 0.114, 0.389)
Li (0.000, 0.183, 0.174)
Li (0.250, 0.000, 0.250)
Cd (0.250, 0.250, 0.000)

Structure and simulated X-ray diffraction stick pattern of SrLiYTa2 (DFT lattice parameters and positions (PBE); Cu Kα, 1.54184 Å).
Neutral-atom scattering factors, no anomalous dispersion.

Largest 12 diffraction maxima, by angle, 2θ = 10–90°:
| d_spacing | Position (°2θ) | intensity | hkl |
| --- | --- | --- | --- |
| 5.301 | 16.7 | 13 | 0 0 1 |
| 3.372 | 26.4 | 8 | 1 1 0 |
| 2.845 | 31.4 | 100 | 1 1 1 |
| 2.651 | 33.8 | 21 | 0 0 2 |
| 2.384 | 37.7 | 32 | 2 0 0 |
| 1.773 | 51.6 | 26 | 2 0 2 |
| 1.686 | 54.4 | 11 | 2 2 0 |
| 1.565 | 59.0 | 17 | 1 1 3 |
| 1.451 | 64.2 | 26 | 3 1 1 |
| 1.423 | 65.6 | 13 | 2 2 2 |
| 1.158 | 83.4 | 7 | 2 0 4 |
| 1.147 | 84.5 | 12 | 3 1 3 |

Crystal structure
Lattice parameters (Å, degrees): 4.769 4.769 5.301 90.00 90.00 90.00
Space group P4/mmm (No. 123)
Symmetry-distinct sites (fractional):
Sr (0.000, 0.000, 0.000)
Li (0.500, 0.500, 0.500)
Y (0.500, 0.500, 0.000)
Ta (0.000, 0.500, 0.500)

Structure and simulated X-ray diffraction stick pattern of CsPdCl5 (DFT lattice parameters and positions (PBE); Cu Kα, 1.54184 Å).
Neutral-atom scattering factors, no anomalous dispersion.

Largest 12 diffraction maxima, by angle, 2θ = 10–90°:
| d_spacing | Position (°2θ) | intensity | hkl |
| --- | --- | --- | --- |
| 5.198 | 17.1 | 100 | 1 0 1 |
| 4.545 | 19.5 | 92 | 0 2 0 |
| 3.869 | 23.0 | 54 | 2 0 0 |
| 3.509 | 25.4 | 21 | 0 0 2 |
| 3.421 | 26.0 | 89 | 1 2 1 |
| 3.015 | 29.6 | 22 | 1 1 2 |
| 2.778 | 32.2 | 58 | 0 2 2 |
| 2.421 | 37.1 | 28 | 3 0 1 |
| 2.257 | 40.0 | 28 | 2 2 2 |
| 2.137 | 42.3 | 43 | 3 2 1 |
| 2.082 | 43.5 | 21 | 1 4 1 |
| 2.008 | 45.1 | 22 | 1 2 3 |

Crystal structure
Lattice parameters (Å, degrees): 7.737 9.090 7.017 90.00 90.00 90.00
Space group Imm2 (No. 44)
Symmetry-distinct sites (fractional):
Cs (0.000, 0.000, 0.000)
Pd (0.000, 0.500, 0.037)
Cl (0.000, 0.330, 0.280)
Cl (0.000, 0.500, 0.712)
Cl (0.199, 0.000, 0.527)

Structure and simulated X-ray diffraction stick pattern of BaCuRu2 (DFT lattice parameters and positions (PBE); Cu Kα, 1.54184 Å).
Neutral-atom scattering factors, no anomalous dispersion.

Largest 12 diffraction maxima, by angle, 2θ = 10–90°:
| d_spacing | Position (°2θ) | intensity | hkl |
| --- | --- | --- | --- |
| 7.484 | 11.8 | 25 | 0 0 1 |
| 3.742 | 23.8 | 28 | 0 0 2 |
| 3.212 | 27.8 | 21 | 0 1 1 |
| 2.578 | 34.8 | 90 | 0 1 2 |
| 2.328 | 38.7 | 67 | 1 0 2 |
| 2.281 | 39.5 | 100 | 1 1 0 |
| 1.778 | 51.4 | 23 | 0 2 0 |
| 1.683 | 54.5 | 19 | 1 1 3 |
| 1.656 | 55.5 | 22 | 0 1 4 |
| 1.583 | 58.3 | 19 | 1 0 4 |
| 1.413 | 66.1 | 27 | 1 2 2 |
| 1.288 | 73.6 | 22 | 2 1 2 |

Crystal structure
Lattice parameters (Å, degrees): 2.972 3.556 7.484 90.00 90.00 90.00
Space group Pmm2 (No. 25)
Symmetry-distinct sites (fractional):
Ba (0.000, 0.000, 0.000)
Cu (0.500, 0.500, 0.320)
Ru (0.000, 0.000, 0.508)
Ru (0.500, 0.500, 0.660)

Structure and simulated X-ray diffraction stick pattern of NdTiSn (DFT lattice parameters and positions (PBE); Cu Kα, 1.54184 Å).
Neutral-atom scattering factors, no anomalous dispersion.

Largest 12 diffraction maxima, by angle, 2θ = 10–90°:
| d_spacing | Position (°2θ) | intensity | hkl |
| --- | --- | --- | --- |
| 5.157 | 17.2 | 12 | 3 0 0 |
| 3.094 | 28.9 | 7 | 5 0 0 |
| 2.889 | 31.0 | 32 | 0 1 1 |
| 2.706 | 33.1 | 9 | 2 1 1 |
| 2.578 | 34.8 | 19 | 6 0 0 |
| 2.520 | 35.6 | 100 | 3 0 2 |
| 1.924 | 47.3 | 15 | 6 1 1 |
| 1.668 | 55.1 | 20 | 0 2 0 |
| 1.607 | 57.3 | 7 | 8 1 1 |
| 1.477 | 62.9 | 11 | 9 0 2 |
| 1.400 | 66.8 | 17 | 6 2 0 |
| 1.391 | 67.3 | 16 | 3 2 2 |

Crystal structure
Lattice parameters (Å, degrees): 15.471 3.336 5.776 90.00 90.00 90.00
Space group Amm2 (No. 38)
Symmetry-distinct sites (fractional):
Nd (0.183, 0.000, 0.000)
Ti (0.353, 0.000, 0.334)
Sn (0.000, 0.000, 0.333)
Sn (0.500, 0.000, 0.001)

Structure and simulated X-ray diffraction stick pattern of NpCF (DFT lattice parameters and positions (PBE); Cu Kα, 1.54184 Å).
Neutral-atom scattering factors, no anomalous dispersion.

Largest 12 diffraction maxima, by angle, 2θ = 10–90°:
| d_spacing | Position (°2θ) | intensity | hkl |
| --- | --- | --- | --- |
| 3.369 | 26.5 | 45 | 0 4 0 |
| 3.299 | 27.0 | 100 | 0 2 1 |
| 3.019 | 29.6 | 44 | 1 1 0 |
| 2.360 | 38.1 | 49 | 1 1 1 |
| 2.115 | 42.8 | 47 | 1 3 1 |
| 2.033 | 44.6 | 35 | 1 5 0 |
| 1.931 | 47.1 | 23 | 0 6 1 |
| 1.650 | 55.7 | 15 | 0 4 2 |
| 1.603 | 57.5 | 18 | 1 1 2 |
| 1.501 | 61.8 | 22 | 1 7 1 |
| 1.402 | 66.7 | 17 | 2 2 1 |
| 1.385 | 67.6 | 18 | 1 5 2 |

Crystal structure
Lattice parameters (Å, degrees): 3.097 13.476 3.784 90.00 90.00 90.00
Space group Cmcm (No. 63)
Symmetry-distinct sites (fractional):
Np (0.000, 0.111, 0.250)
C (0.000, 0.500, 0.000)
F (0.000, 0.301, 0.250)